Starting from a crystal structure in Alexandria, relaxed with PBE, the powder XRD pattern of LiZnIn2 was simulated for Cu Kα (λ = 1.5418 Å).
Peak positions follow from Bragg's law for the DFT cell and can differ from measured ones.

Structure:
```
data_LiZnIn2
_symmetry_space_group_name_H-M 'P 1 2/m 1'
_symmetry_Int_Tables_number 10
_symmetry_space_group_name_Hall '-P 2y'
_cell_length_a 3.224
_cell_length_b 4.126
_cell_length_c 6.181
_cell_angle_alpha 90.00
_cell_angle_beta 92.02
_cell_angle_gamma 90.00
loop_
_atom_site_label
_atom_site_fract_x
_atom_site_fract_y
_atom_site_fract_z
Li1 0.000 0.000 0.000
Zn1 0.000 0.000 0.500
In1 0.483 0.500 0.749
```

The 12 most intense peaks (2θ = 15–90°), sorted by position:
2θ/deg	d (Å)	intensity
21.5	4.126	45.6
27.7	3.222	24.2
28.9	3.089	22.0
35.3	2.539	100.0
36.3	2.473	93.5
39.7	2.270	36.1
41.2	2.191	32.4
43.9	2.063	28.3
60.7	1.527	19.8
61.8	1.502	23.2
68.6	1.367	13.2
70.5	1.336	12.5